1.
For Nd3YF, DFT lattice parameters and positions (PBE) gives the calculated powder diffraction line list in this record (Cu Kα, 1.54184 Å).
Neutral-atom scattering factors, no anomalous dispersion.

Crystal structure
```
Nd3YF
1.0
5.187 0.000 0.000
0.000 5.187 0.000
0.000 0.000 5.187
Nd Y F
3 1 1
Direct
0.000 0.000 0.500 Nd
0.000 0.500 0.000 Nd
0.500 0.000 0.000 Nd
0.500 0.500 0.500 Y
0.000 0.000 0.000 F
```

Most intense lines, 15° ≤ 2θ ≤ 90°, in order of falling intensity:
2theta, Rel. int.
29.84, 100
34.59, 59
59.07, 44
49.72, 42
83.32, 18
80.77, 18
61.98, 14
72.96, 7
17.10, 6
38.83, 3

2.
For NdZr3F15, DFT lattice parameters and positions (PBE) gives the calculated powder diffraction line list in this record (Cu Kα, 1.54184 Å).
Neutral-atom scattering factors, no anomalous dispersion.

Crystal structure
```
NdZr3F15
1.0
6.243 3.604 2.072
-6.243 3.604 2.072
0.000 -7.209 2.072
Nd Zr F
1 3 15
Direct
0.000 0.000 0.000 Nd
0.209 0.639 0.639 Zr
0.639 0.209 0.639 Zr
0.639 0.639 0.209 Zr
0.131 0.354 0.354 F
0.235 0.896 0.896 F
0.351 0.565 0.894 F
0.351 0.894 0.565 F
0.354 0.131 0.354 F
0.354 0.354 0.131 F
0.565 0.351 0.894 F
0.565 0.894 0.351 F
0.580 0.814 0.814 F
0.814 0.580 0.814 F
0.814 0.814 0.580 F
0.894 0.351 0.565 F
0.894 0.565 0.351 F
0.896 0.235 0.896 F
0.896 0.896 0.235 F
```

Most intense lines, 15° ≤ 2θ ≤ 90°, in order of falling intensity:
2theta, Rel. int.
21.78, 100
46.84, 42
26.09, 38
44.37, 28
28.60, 27
53.63, 13
41.85, 12
50.82, 11
24.70, 11
70.93, 11

3.
For NdZrF7, DFT lattice parameters and positions (PBE) gives the calculated powder diffraction line list in this record (Cu Kα, 1.54184 Å).
Neutral-atom scattering factors, no anomalous dispersion.

Crystal structure
```
NdZrF7
1.0
6.285 0.000 0.000
0.000 5.954 0.000
-1.874 0.000 8.309
Nd Zr F
2 2 14
Direct
0.156 0.000 0.189 Nd
0.844 0.500 0.811 Nd
0.313 0.007 0.725 Zr
0.687 0.507 0.275 Zr
0.044 0.702 0.019 F
0.073 0.772 0.709 F
0.099 0.270 0.708 F
0.267 0.001 0.480 F
0.357 0.013 0.969 F
0.443 0.273 0.255 F
0.448 0.744 0.266 F
0.552 0.244 0.734 F
0.557 0.773 0.745 F
0.643 0.513 0.031 F
0.733 0.501 0.520 F
0.901 0.770 0.292 F
0.927 0.272 0.291 F
0.956 0.202 0.981 F
```

Most intense lines, 15° ≤ 2θ ≤ 90°, in order of falling intensity:
2theta, Rel. int.
20.80, 100
21.39, 36
27.56, 29
24.86, 22
45.47, 18
42.04, 16
45.94, 14
26.16, 13
21.89, 13
48.19, 12

Question: Which formula does entry 1 have?
Answer: Nd3YF